(1)
# ErSc3Pt2
Theoretical PXRD pattern, Cu Kα (weighted mean of Kα1 and Kα2). Input: a structure optimized by DFT (GGA-PBE).
Peak positions follow from Bragg's law for the DFT cell and can differ from measured ones.

Principal peaks in the range 2θ = 10–90°, in order of rising 2θ:
d = 3.553 Å, I = 610; d = 3.437 Å, I = 828; d = 2.584 Å, I = 1000; d = 2.371 Å, I = 531; d = 2.269 Å, I = 462; d = 1.943 Å, I = 320

```
ErSc3Pt2
1.0
4.538 0.000 0.000
0.000 8.340 0.000
0.000 0.000 6.786
Er Sc Pt
2 6 4
Cartesian
0.000 0.625 0.000
0.000 7.715 3.393
0.000 2.768 4.283
0.000 5.572 0.890
2.269 1.527 2.322
2.269 3.531 6.587
2.269 4.809 3.194
2.269 6.813 5.715
0.000 2.929 1.579
0.000 5.411 4.972
2.269 1.279 5.003
2.269 7.062 1.611
```



(2)
# BaPrSb2Pd5
Theoretical PXRD pattern, Cu Kα (weighted mean of Kα1 and Kα2). Input: a structure optimized by DFT (GGA-PBE).
Peak positions follow from Bragg's law for the DFT cell and can differ from measured ones.

Principal peaks in the range 2θ = 10–90°, in order of rising 2θ:
d = 3.431 Å, I = 635; d = 2.839 Å, I = 344; d = 2.527 Å, I = 1000; d = 1.962 Å, I = 344; d = 1.956 Å, I = 515; d = 1.787 Å, I = 349

```
BaPrSb2Pd5
1.0
5.053 0.000 0.000
0.000 5.053 0.000
0.000 0.000 9.347
Ba Pr Sb Pd
1 1 2 5
Cartesian
0.000 0.000 0.000
0.000 0.000 4.673
2.527 2.527 2.568
2.527 2.527 6.779
0.000 2.527 3.106
0.000 2.527 6.240
2.527 0.000 3.106
2.527 0.000 6.240
2.527 2.527 0.000
```



(3)
# Sm2ErTe2S2
Theoretical PXRD pattern, Cu Kα (weighted mean of Kα1 and Kα2). Input: a structure optimized by DFT (GGA-PBE).
Peak positions follow from Bragg's law for the DFT cell and can differ from measured ones.

Principal peaks in the range 2θ = 10–90°, in order of rising 2θ:
d = 3.547 Å, I = 982; d = 2.688 Å, I = 1000; d = 2.508 Å, I = 571; d = 1.834 Å, I = 649; d = 1.774 Å, I = 200; d = 1.586 Å, I = 197

```
Sm2ErTe2S2
1.0
-2.508 2.508 7.958
2.508 -2.508 7.958
2.508 2.508 -7.958
Sm Er Te S
2 1 2 2
Cartesian
0.000 0.000 1.822
0.000 0.000 14.095
0.000 0.000 7.958
0.000 0.000 4.985
0.000 0.000 10.932
2.508 0.000 0.000
0.000 2.508 0.000
```



(4)
# PuRhC
Theoretical PXRD pattern, Cu Kα (weighted mean of Kα1 and Kα2). Input: a structure optimized by DFT (GGA-PBE).
Peak positions follow from Bragg's law for the DFT cell and can differ from measured ones.

Principal peaks in the range 2θ = 10–90°, in order of rising 2θ:
d = 3.628 Å, I = 556; d = 2.800 Å, I = 279; d = 2.639 Å, I = 297; d = 2.492 Å, I = 1000; d = 2.318 Å, I = 374; d = 2.207 Å, I = 705

```
PuRhC
1.0
1.858 -8.399 0.000
1.858 8.399 0.000
0.000 0.000 2.780
Pu Rh C
2 2 2
Cartesian
1.858 6.765 2.085
1.858 -6.765 0.695
1.858 3.590 2.085
1.858 -3.590 0.695
1.858 0.346 2.085
1.858 -0.346 0.695
```



(5)
# BaMgFe2Br8
Theoretical PXRD pattern, Cu Kα (weighted mean of Kα1 and Kα2). Input: a structure optimized by DFT (GGA-PBE).
Peak positions follow from Bragg's law for the DFT cell and can differ from measured ones.

Principal peaks in the range 2θ = 10–90°, in order of rising 2θ:
d = 3.180 Å, I = 1000; d = 3.102 Å, I = 339; d = 2.737 Å, I = 585; d = 1.954 Å, I = 356; d = 1.917 Å, I = 331; d = 1.653 Å, I = 281

```
BaMgFe2Br8
1.0
6.768 0.000 0.000
-3.384 5.862 0.000
0.000 0.000 9.305
Ba Mg Fe Br
1 1 2 8
Cartesian
0.000 0.000 0.000
0.000 0.000 4.653
0.000 3.908 6.874
3.384 1.954 2.431
-2.292 4.067 2.982
1.008 1.843 2.982
2.100 0.049 6.323
0.000 3.908 9.287
3.384 1.954 0.018
1.284 5.813 2.982
2.376 4.018 6.323
5.676 1.794 6.323
```



(6)
# KMg2CrCl8
Theoretical PXRD pattern, Cu Kα (weighted mean of Kα1 and Kα2). Input: a structure optimized by DFT (GGA-PBE).
Peak positions follow from Bragg's law for the DFT cell and can differ from measured ones.

Principal peaks in the range 2θ = 10–90°, in order of rising 2θ:
d = 5.269 Å, I = 642; d = 4.728 Å, I = 542; d = 3.849 Å, I = 331; d = 2.813 Å, I = 1000; d = 2.061 Å, I = 359; d = 1.924 Å, I = 353

```
KMg2CrCl8
1.0
6.232 0.000 0.000
1.477 6.054 0.000
1.763 1.400 8.242
K Mg Cr Cl
1 2 1 8
Cartesian
0.000 0.000 0.000
3.814 2.996 1.890
5.657 4.458 6.352
0.881 0.700 4.121
3.481 5.502 5.813
2.734 2.142 3.931
3.299 5.353 2.435
2.587 2.016 0.075
6.884 5.438 8.167
6.172 2.101 5.807
6.737 5.312 4.311
5.990 1.953 2.429
```



What did the first record say?
# ErSc3Pt2
Theoretical PXRD pattern, Cu Kα (weighted mean of Kα1 and Kα2). Input: a structure optimized by DFT (GGA-PBE).
Peak positions follow from Bragg's law for the DFT cell and can differ from measured ones.

Principal peaks in the range 2θ = 10–90°, in order of rising 2θ:
d = 3.553 Å, I = 610; d = 3.437 Å, I = 828; d = 2.584 Å, I = 1000; d = 2.371 Å, I = 531; d = 2.269 Å, I = 462; d = 1.943 Å, I = 320

```
ErSc3Pt2
1.0
4.538 0.000 0.000
0.000 8.340 0.000
0.000 0.000 6.786
Er Sc Pt
2 6 4
Cartesian
0.000 0.625 0.000
0.000 7.715 3.393
0.000 2.768 4.283
0.000 5.572 0.890
2.269 1.527 2.322
2.269 3.531 6.587
2.269 4.809 3.194
2.269 6.813 5.715
0.000 2.929 1.579
0.000 5.411 4.972
2.269 1.279 5.003
2.269 7.062 1.611
```